The following is a computed XRD peak list of Ba2DyGa2O6. It was derived from a PBE-relaxed structure, using Cu Kα.

Most intense lines, 2θ = 15–90°, low angle first:
25.91°, rel. 29
29.32°, rel. 100
29.89°, rel. 78
39.52°, rel. 22
42.36°, rel. 30
51.99°, rel. 20
52.35°, rel. 34
54.60°, rel. 28
60.81°, rel. 18
69.23°, rel. 14

Crystal structure
a b c (Å): 6.995 6.995 6.995
angles (deg): 51.64 51.64 51.64
Atoms (fractional coordinates):
Ba (0.211, 0.211, 0.211)
Ba (0.789, 0.789, 0.789)
Dy (0.000, 0.000, 0.000)
Ga (0.431, 0.431, 0.431)
Ga (0.569, 0.569, 0.569)
O (0.241, 0.757, 0.757)
O (0.243, 0.243, 0.759)
O (0.243, 0.759, 0.243)
O (0.757, 0.241, 0.757)
O (0.757, 0.757, 0.241)
O (0.759, 0.243, 0.243)